# 1
Calculated powder diffraction line list
Compound: Ho5Cd2Pt2
Radiation: Cu Kα X-rays
Structure: a cell relaxed with PBE
Kinematic intensities with the Lorentz-polarization factor, no thermal factor.

Structural model:
```
Ho5Cd2Pt2
1.0
7.9596 -3.8499 0.0000
7.9596 3.8499 0.0000
0.0000 0.0000 7.5944
Ho Cd Pt
10 4 4
direct
0.0000 0.0000 0.0000
0.0550 0.7055 0.6703
0.2055 0.5550 0.1703
0.2945 0.9450 0.6703
0.4450 0.7945 0.1703
0.5000 0.5000 0.5000
0.5550 0.2055 0.8297
0.7055 0.0550 0.3297
0.7945 0.4450 0.8297
0.9450 0.2945 0.3297
0.2162 0.2162 0.0000
0.2838 0.2838 0.5000
0.7162 0.7162 0.5000
0.7838 0.7838 0.0000
0.1318 0.8682 0.3670
0.3682 0.6318 0.8670
0.6318 0.3682 0.1330
0.8682 0.1318 0.6330
```

Largest 6 diffraction maxima, in order of rising 2θ, 2θ = 5–70°:
7.960 Å, intensity 91
2.866 Å, intensity 82
2.746 Å, intensity 61
2.600 Å, intensity 100
2.404 Å, intensity 60
2.326 Å, intensity 61

# 2
Calculated powder diffraction line list
Compound: Ho6CdPt2
Radiation: Cu Kα X-rays
Structure: a cell relaxed with PBE
Kinematic intensities with the Lorentz-polarization factor, no thermal factor.

Structural model:
```
Ho6CdPt2
1.0
-4.6893 4.8152 5.2182
4.6893 -4.8152 5.2182
4.6893 4.8152 -5.2182
Ho Cd Pt
12 2 4
direct
0.0386 0.2378 0.8008
0.1826 0.2891 0.4717
0.1826 0.7109 0.8934
0.3294 0.0280 0.6985
0.3294 0.6309 0.3015
0.4369 0.2378 0.1992
0.5631 0.7622 0.8008
0.6706 0.3691 0.6985
0.6706 0.9720 0.3015
0.8174 0.2891 0.1066
0.8174 0.7109 0.5283
0.9614 0.7622 0.1992
0.0000 0.0000 0.0000
0.5000 0.5000 0.0000
0.1347 0.6347 0.5000
0.3380 0.0000 0.3380
0.6620 0.0000 0.6620
0.8653 0.3653 0.5000
```

Largest 6 diffraction maxima, in order of rising 2θ, 2θ = 5–70°:
2.825 Å, intensity 82
2.683 Å, intensity 88
2.625 Å, intensity 100
2.567 Å, intensity 87
2.543 Å, intensity 45
1.547 Å, intensity 46

# 3
Calculated powder diffraction line list
Compound: HoCd2Pt2
Radiation: Cu Kα X-rays
Structure: a cell relaxed with PBE
Kinematic intensities with the Lorentz-polarization factor, no thermal factor.

Structural model:
```
HoCd2Pt2
1.0
5.5043 0.0000 0.0000
0.0000 4.6181 0.0000
-2.5843 0.0000 8.4257
Ho Cd Pt
2 4 4
direct
0.0935 0.2500 0.2632
0.9065 0.7500 0.7368
0.3348 0.2500 0.9476
0.4215 0.2500 0.6289
0.5785 0.7500 0.3711
0.6652 0.7500 0.0524
0.1364 0.7500 0.4779
0.1770 0.7500 0.0816
0.8230 0.2500 0.9184
0.8636 0.2500 0.5221
```

Largest 6 diffraction maxima, in order of rising 2θ, 2θ = 5–70°:
2.456 Å, intensity 39
2.425 Å, intensity 44
2.400 Å, intensity 96
2.309 Å, intensity 72
2.285 Å, intensity 44
2.266 Å, intensity 100

# 4
Calculated powder diffraction line list
Compound: YHoCdPt
Radiation: Cu Kα X-rays
Structure: a cell relaxed with PBE
Kinematic intensities with the Lorentz-polarization factor, no thermal factor.

Structural model:
```
YHoCdPt
1.0
0.0000 3.5988 3.5988
3.5988 0.0000 3.5988
3.5988 3.5988 0.0000
Y Ho Cd Pt
1 1 1 1
direct
0.0000 0.0000 0.0000
0.5000 0.5000 0.5000
0.7500 0.7500 0.7500
0.2500 0.2500 0.2500
```

Largest 6 diffraction maxima, in order of rising 2θ, 2θ = 5–70°:
4.156 Å, intensity 8
2.545 Å, intensity 100
2.170 Å, intensity 5
1.799 Å, intensity 18
1.651 Å, intensity 2
1.469 Å, intensity 36

# 5
Calculated powder diffraction line list
Compound: Ho4CdRe
Radiation: Cu Kα X-rays
Structure: a cell relaxed with PBE
Kinematic intensities with the Lorentz-polarization factor, no thermal factor.

Structural model:
```
Ho4CdRe
1.0
4.3151 -6.4180 0.0000
4.3151 6.4180 0.0000
-1.8093 0.0000 5.9366
Ho Cd Re
8 2 2
direct
0.0653 0.7234 0.9538
0.1986 0.3573 0.6070
0.2766 0.9347 0.5462
0.3573 0.1986 0.1070
0.6427 0.8014 0.8930
0.7234 0.0653 0.4538
0.8014 0.6427 0.3930
0.9347 0.2766 0.0462
0.3745 0.6255 0.2500
0.6255 0.3745 0.7500
0.0007 0.9993 0.7500
0.9993 0.0007 0.2500
```

Largest 6 diffraction maxima, in order of rising 2θ, 2θ = 5–70°:
6.943 Å, intensity 73
2.765 Å, intensity 72
2.720 Å, intensity 100
2.508 Å, intensity 66
2.451 Å, intensity 42
2.359 Å, intensity 38

# 6
Calculated powder diffraction line list
Compound: HoCd3Rh
Radiation: Cu Kα X-rays
Structure: a cell relaxed with PBE
Kinematic intensities with the Lorentz-polarization factor, no thermal factor.

Structural model:
```
HoCd3Rh
1.0
9.4063 0.0000 0.0000
0.0000 4.0197 0.0000
0.0000 0.0000 11.8805
Ho Cd Rh
4 12 4
direct
0.1941 0.2500 0.0135
0.3059 0.7500 0.5135
0.6941 0.2500 0.4865
0.8059 0.7500 0.9865
0.0416 0.2500 0.4131
0.0573 0.7500 0.2117
0.1831 0.7500 0.7927
0.3169 0.2500 0.2927
0.4427 0.2500 0.7117
0.4584 0.7500 0.9131
0.5416 0.2500 0.0869
0.5573 0.7500 0.2883
0.6831 0.7500 0.7073
0.8169 0.2500 0.2073
0.9427 0.2500 0.7883
0.9584 0.7500 0.5869
0.1708 0.2500 0.6279
0.3292 0.7500 0.1279
0.6708 0.2500 0.8721
0.8292 0.7500 0.3721
```

Largest 6 diffraction maxima, in order of rising 2θ, 2θ = 5–70°:
2.717 Å, intensity 70
2.702 Å, intensity 100
2.420 Å, intensity 54
2.305 Å, intensity 67
2.282 Å, intensity 48
2.010 Å, intensity 38